Entry 1:
For Zr6Rh5Au, a cell relaxed with PBE gives the calculated XRD peak list in this record (Cu Kα X-rays).

Largest 10 diffraction maxima, by angle, 2θ from 10° to 80°:
Position (°2θ)	I_rel
14.78	2
23.17	2
26.41	2
26.74	2
38.18	51
38.33	100
55.10	17
55.56	8
69.11	34
69.41	17

Crystal structure
abc: 8.155 8.155 8.155
angles: 146.39 132.14 59.75
Fractional positions:
Zr 0.078 0.331 0.747
Zr 0.243 0.000 0.243
Zr 0.417 0.669 0.747
Zr 0.583 0.331 0.253
Zr 0.757 0.000 0.757
Zr 0.922 0.669 0.253
Rh 0.000 0.500 0.500
Rh 0.166 0.166 0.000
Rh 0.332 0.832 0.500
Rh 0.668 0.168 0.500
Rh 0.834 0.834 0.000
Au 0.500 0.500 0.000

Entry 2:
For La3TbSb2, a cell relaxed with PBE gives the calculated XRD peak list in this record (Cu Kα X-rays).

Largest 10 diffraction maxima, by angle, 2θ from 10° to 80°:
Position (°2θ)	I_rel
27.61	17
28.90	100
29.86	39
33.78	94
35.68	25
38.70	60
49.64	38
55.89	21
64.13	21
66.92	26

Crystal structure
abc: 4.653 4.653 8.976
angles: 90.00 90.00 90.00
Fractional positions:
La 0.000 0.000 0.000
La 0.000 0.500 0.645
La 0.500 0.000 0.355
Tb 0.500 0.500 0.000
Sb 0.000 0.500 0.274
Sb 0.500 0.000 0.726

Entry 3:
For LiCd4InAg, a cell relaxed with PBE gives the calculated XRD peak list in this record (Cu Kα X-rays).

Largest 10 diffraction maxima, by angle, 2θ from 10° to 80°:
Position (°2θ)	I_rel
22.02	24
23.66	37
29.73	52
32.55	21
35.91	50
37.44	100
41.59	37
47.68	18
65.55	16
73.19	20

Crystal structure
abc: 5.795 5.795 10.003
angles: 90.00 90.00 99.14
Fractional positions:
Li 0.145 0.855 0.750
Li 0.855 0.145 0.250
Cd 0.036 0.340 0.750
Cd 0.318 0.682 0.515
Cd 0.318 0.682 0.985
Cd 0.340 0.036 0.250
Cd 0.660 0.964 0.750
Cd 0.682 0.318 0.015
Cd 0.682 0.318 0.485
Cd 0.964 0.660 0.250
In 0.465 0.535 0.250
In 0.535 0.465 0.750
Ag 0.000 0.000 0.000
Ag 0.000 0.000 0.500